# LiCoPO4
Calculated powder diffraction line list, Cu Kα. Input: a cell relaxed with PBE+U.
Lines closer than 0.1° are merged.

Cell and atoms:
```
data_LiCoPO4
_symmetry_space_group_name_H-M 'P 1 c 1'
_symmetry_Int_Tables_number 7
_cell_length_a 8.071
_cell_length_b 5.332
_cell_length_c 8.423
_cell_angle_alpha 90.00
_cell_angle_beta 104.99
_cell_angle_gamma 90.00
loop_
_symmetry_equiv_pos_as_xyz
'x,y,z'
'x,-y,z+1/2'
loop_
_atom_site_label
_atom_site_fract_x
_atom_site_fract_y
_atom_site_fract_z
Li1 0.000 0.156 0.000
Li2 0.468 0.335 0.290
Co1 0.101 0.335 0.368
Co2 0.601 0.172 0.683
P1 0.226 0.170 0.743
P2 0.721 0.333 0.060
O1 0.087 0.173 0.575
O2 0.153 0.302 0.876
O3 0.269 0.109 0.295
O4 0.386 0.313 0.724
O5 0.590 0.189 0.133
O6 0.649 0.398 0.515
O7 0.751 0.204 0.903
O8 0.903 0.326 0.178
```

Most intense lines, 2θ from 10° to 90°, by intensity:
2θ/deg	Rel. int.	index
21.5	100	1 1 -1
22.8	92	2 0 0
27.2	92	1 0 2
32.1	53	2 1 -2
28.2	42	2 1 -1
21.9	34	1 0 -2
33.6	31	0 2 0
27.6	28	0 1 2
59.2	25	2 3 -2
35.4	23	0 2 1